Diffraction record for Th2BiPt2. The powder diffractogram is calculated, not measured: it uses a crystal structure in Alexandria, relaxed with GGA-PBE and Cu Kα (weighted mean of Kα1 and Kα2).
Peak positions follow from Bragg's law for the DFT cell and can differ from measured ones.

Atomic structure:
Cell lengths 7.9789, 7.9789, 3.9284 Å; angles 90.00, 90.00, 90.00 degrees
Positions (direct):
Th (0.1720, 0.3280, 0.0000)
Th (0.3280, 0.8280, 0.0000)
Th (0.6720, 0.1720, 0.0000)
Th (0.8280, 0.6720, 0.0000)
Bi (0.0000, 0.0000, 0.5000)
Bi (0.5000, 0.5000, 0.5000)
Pt (0.1264, 0.6264, 0.5000)
Pt (0.3736, 0.1264, 0.5000)
Pt (0.6264, 0.8736, 0.5000)
Pt (0.8736, 0.3736, 0.5000)

Most intense lines, 2θ from 5° to 70°, low angle first:
two_theta  intensity
31.97  32.6
33.94  100.0
35.58  45.7
46.22  16.0
52.73  11.5
59.66  21.2
64.05  12.6
67.57  12.7



Diffraction record for Nd7Sm5. The powder diffractogram is calculated, not measured: it uses a crystal structure in Alexandria, relaxed with GGA-PBE and Cu Kα (weighted mean of Kα1 and Kα2).
Peak positions follow from Bragg's law for the DFT cell and can differ from measured ones.

Atomic structure:
Cell lengths 5.7156, 5.7156, 14.9204 Å; angles 102.29, 102.29, 62.71 degrees
Positions (direct):
Nd (0.0000, 0.0000, 0.0000)
Nd (0.1780, 0.1780, 0.5837)
Nd (0.2544, 0.2544, 0.8287)
Nd (0.4647, 0.4647, 0.2865)
Nd (0.5353, 0.5353, 0.7135)
Nd (0.7456, 0.7456, 0.1713)
Nd (0.8220, 0.8220, 0.4163)
Sm (0.1267, 0.1267, 0.2995)
Sm (0.3659, 0.3659, 0.0619)
Sm (0.5000, 0.5000, 0.5000)
Sm (0.6341, 0.6341, 0.9381)
Sm (0.8733, 0.8733, 0.7005)

Most intense lines, 2θ from 5° to 70°, low angle first:
two_theta  intensity
28.43  31.1
29.60  22.9
30.05  66.5
31.35  100.0
32.02  18.4
32.37  45.8
33.65  23.4
54.16  28.0



Diffraction record for Mn3H3Ru. The powder diffractogram is calculated, not measured: it uses a crystal structure in Alexandria, relaxed with GGA-PBE and Cu Kα (weighted mean of Kα1 and Kα2).
Peak positions follow from Bragg's law for the DFT cell and can differ from measured ones.

Atomic structure:
Cell lengths 5.3683, 5.3683, 3.7495 Å; angles 90.00, 90.00, 88.79 degrees
Positions (direct):
Mn (0.1260, 0.8740, 0.7500)
Mn (0.1284, 0.3770, 0.7500)
Mn (0.3770, 0.1284, 0.2500)
Mn (0.6230, 0.8716, 0.7500)
Mn (0.8716, 0.6230, 0.2500)
Mn (0.8740, 0.1260, 0.2500)
H (0.1178, 0.8822, 0.2500)
H (0.1189, 0.3691, 0.2500)
H (0.3691, 0.1189, 0.7500)
H (0.6309, 0.8811, 0.2500)
H (0.8811, 0.6309, 0.7500)
H (0.8822, 0.1178, 0.7500)
Ru (0.3716, 0.6284, 0.2500)
Ru (0.6284, 0.3716, 0.7500)

Most intense lines, 2θ from 5° to 70°, low angle first:
two_theta  intensity
16.52  7.1
23.19  3.3
29.05  4.3
33.78  2.9
41.38  100.0
44.55  1.8
47.40  17.4
48.52  32.3



Diffraction record for Sn4BiTe3. The powder diffractogram is calculated, not measured: it uses a crystal structure in Alexandria, relaxed with GGA-PBE and Cu Kα (weighted mean of Kα1 and Kα2).
Peak positions follow from Bragg's law for the DFT cell and can differ from measured ones.

Atomic structure:
Cell lengths 7.7986, 8.9960, 7.7877 Å; angles 90.00, 108.81, 90.00 degrees
Positions (direct):
Sn (0.2468, 0.1239, 0.4987)
Sn (0.2468, 0.8761, 0.9987)
Sn (0.2488, 0.3736, 0.9986)
Sn (0.2488, 0.6264, 0.4986)
Sn (0.7512, 0.3736, 0.5014)
Sn (0.7512, 0.6264, 0.0014)
Sn (0.7532, 0.1239, 0.0013)
Sn (0.7532, 0.8761, 0.5013)
Bi (0.0000, 0.1248, 0.7500)
Bi (0.0000, 0.8752, 0.2500)
Te (0.0000, 0.3757, 0.2500)
Te (0.0000, 0.6243, 0.7500)
Te (0.5000, 0.1259, 0.2500)
Te (0.5000, 0.3759, 0.7500)
Te (0.5000, 0.6241, 0.2500)
Te (0.5000, 0.8741, 0.7500)

Most intense lines, 2θ from 5° to 70°, low angle first:
two_theta  intensity
27.94  100.0
28.16  49.0
39.74  19.7
40.09  96.2
49.42  21.2
49.71  20.9
65.45  18.5
65.80  18.3



Diffraction record for CuAgSe. The powder diffractogram is calculated, not measured: it uses a crystal structure in Alexandria, relaxed with GGA-PBE and Cu Kα (weighted mean of Kα1 and Kα2).
Peak positions follow from Bragg's law for the DFT cell and can differ from measured ones.

Atomic structure:
Cell lengths 6.7112, 6.5415, 2.9397 Å; angles 80.43, 73.98, 25.59 degrees
Positions (direct):
Cu (0.0000, 0.0000, 0.0000)
Ag (0.6551, 0.6551, 0.3449)
Se (0.3568, 0.3568, 0.6432)

Most intense lines, 2θ from 5° to 70°, low angle first:
two_theta  intensity
28.37  7.9
38.29  100.0
38.58  26.5
43.13  13.8
51.09  11.4
59.23  10.3
65.81  11.1
69.61  15.9



Diffraction record for Hg3AsS4Cl. The powder diffractogram is calculated, not measured: it uses a crystal structure in Alexandria, relaxed with GGA-PBE and Cu Kα (weighted mean of Kα1 and Kα2).
Peak positions follow from Bragg's law for the DFT cell and can differ from measured ones.

Atomic structure:
Cell lengths 7.5738, 7.5738, 9.6949 Å; angles 90.00, 90.00, 120.00 degrees
Positions (direct):
Hg (0.0041, 0.5021, 0.0000)
Hg (0.4979, 0.5021, 0.0000)
Hg (0.4979, 0.9959, 0.0000)
Hg (0.5021, 0.0041, 0.5000)
Hg (0.5021, 0.4979, 0.5000)
Hg (0.9959, 0.4979, 0.5000)
As (0.0000, 0.0000, 0.4898)
As (0.0000, 0.0000, 0.9898)
S (0.1490, 0.2980, 0.6155)
S (0.1490, 0.8510, 0.6155)
S (0.2980, 0.1490, 0.1155)
S (0.3333, 0.6667, 0.8716)
S (0.6667, 0.3333, 0.3716)
S (0.7020, 0.8510, 0.6155)
S (0.8510, 0.1490, 0.1155)
S (0.8510, 0.7020, 0.1155)
Cl (0.3333, 0.6667, 0.3021)
Cl (0.6667, 0.3333, 0.8021)

Most intense lines, 2θ from 5° to 70°, low angle first:
two_theta  intensity
18.30  63.5
27.19  60.6
32.98  100.0
46.60  43.8
48.05  25.2
51.84  26.1
59.51  18.7
64.26  14.8



Diffraction record for Sm2Ga2Co5. The powder diffractogram is calculated, not measured: it uses a crystal structure in Alexandria, relaxed with GGA-PBE and Cu Kα (weighted mean of Kα1 and Kα2).
Peak positions follow from Bragg's law for the DFT cell and can differ from measured ones.

Atomic structure:
Cell lengths 12.0552, 12.0552, 12.0552 Å; angles 25.06, 25.06, 25.06 degrees
Positions (direct):
Sm (0.0488, 0.0488, 0.0488)
Sm (0.1473, 0.1473, 0.1473)
Sm (0.8527, 0.8527, 0.8527)
Sm (0.9512, 0.9512, 0.9512)
Ga (0.2780, 0.2780, 0.2780)
Ga (0.3882, 0.3882, 0.3882)
Ga (0.6118, 0.6118, 0.6118)
Ga (0.7220, 0.7220, 0.7220)
Co (0.0000, 0.5000, 0.5000)
Co (0.1129, 0.6095, 0.6095)
Co (0.3905, 0.3905, 0.8871)
Co (0.3905, 0.8871, 0.3905)
Co (0.5000, 0.0000, 0.5000)
Co (0.5000, 0.5000, 0.0000)
Co (0.5000, 0.5000, 0.5000)
Co (0.6095, 0.1129, 0.6095)
Co (0.6095, 0.6095, 0.1129)
Co (0.8871, 0.3905, 0.3905)

Most intense lines, 2θ from 5° to 70°, low angle first:
two_theta  intensity
32.32  34.1
34.29  55.3
34.44  26.8
39.89  33.5
41.61  100.0
46.67  19.9
61.46  20.5
66.45  35.2



Diffraction record for BIN2Cl. The powder diffractogram is calculated, not measured: it uses a crystal structure in Alexandria, relaxed with GGA-PBE and Cu Kα (weighted mean of Kα1 and Kα2).
Peak positions follow from Bragg's law for the DFT cell and can differ from measured ones.

Atomic structure:
Cell lengths 3.5375, 3.5375, 7.0620 Å; angles 90.00, 90.00, 90.00 degrees
Positions (direct):
B (0.0000, 0.0000, 0.0000)
I (0.0000, 0.0000, 0.5000)
N (0.0000, 0.5000, 0.0000)
N (0.5000, 0.0000, 0.0000)
Cl (0.5000, 0.5000, 0.5000)

Most intense lines, 2θ from 5° to 70°, low angle first:
two_theta  intensity
12.53  100.0
25.21  79.4
28.21  25.1
35.92  40.9
38.18  63.3
44.38  23.0
53.43  30.7
58.36  27.2



Diffraction record for Cs3Mg2AgI8. The powder diffractogram is calculated, not measured: it uses a crystal structure in Alexandria, relaxed with GGA-PBE and Cu Kα (weighted mean of Kα1 and Kα2).
Peak positions follow from Bragg's law for the DFT cell and can differ from measured ones.

Atomic structure:
Cell lengths 8.5071, 8.5071, 10.8056 Å; angles 90.00, 90.00, 120.00 degrees
Positions (direct):
Cs (0.0000, 0.0000, 0.0000)
Cs (0.3333, 0.6667, 0.6214)
Cs (0.6667, 0.3333, 0.3786)
Mg (0.3333, 0.6667, 0.2172)
Mg (0.6667, 0.3333, 0.7828)
Ag (0.0000, 0.0000, 0.5000)
I (0.1617, 0.3234, 0.3200)
I (0.1617, 0.8383, 0.3200)
I (0.3234, 0.1617, 0.6800)
I (0.3333, 0.6667, 0.9699)
I (0.6667, 0.3333, 0.0301)
I (0.6766, 0.8383, 0.3200)
I (0.8383, 0.1617, 0.6800)
I (0.8383, 0.6766, 0.6800)

Most intense lines, 2θ from 5° to 70°, low angle first:
two_theta  intensity
20.88  44.9
24.72  38.5
25.55  100.0
26.67  56.6
29.35  72.3
41.45  35.8
42.51  53.1
49.79  33.1



Diffraction record for Ba6Dy2Al4O15. The powder diffractogram is calculated, not measured: it uses a crystal structure in Alexandria, relaxed with GGA-PBE and Cu Kα (weighted mean of Kα1 and Kα2).
Peak positions follow from Bragg's law for the DFT cell and can differ from measured ones.

Atomic structure:
Cell lengths 14.8463, 5.9415, 5.9415 Å; angles 60.31, 90.00, 90.00 degrees
Positions (direct):
Ba (0.0000, 0.0000, 0.0000)
Ba (0.1529, 0.6867, 0.6867)
Ba (0.3258, 0.3697, 0.3697)
Ba (0.5000, 0.0553, 0.0553)
Ba (0.6742, 0.3697, 0.3697)
Ba (0.8471, 0.6867, 0.6867)
Dy (0.2499, 0.0309, 0.0309)
Dy (0.7501, 0.0309, 0.0309)
Al (0.1126, 0.3544, 0.3544)
Al (0.3868, 0.7034, 0.7034)
Al (0.6132, 0.7034, 0.7034)
Al (0.8874, 0.3544, 0.3544)
O (0.0000, 0.4073, 0.4073)
O (0.0000, 0.7556, 0.7556)
O (0.1443, 0.1872, 0.1872)
O (0.1728, 0.1917, 0.6583)
O (0.1728, 0.6583, 0.1917)
O (0.3377, 0.3908, 0.8838)
O (0.3377, 0.8838, 0.3908)
O (0.3706, 0.8753, 0.8753)
O (0.5000, 0.6470, 0.6470)
O (0.6294, 0.8753, 0.8753)
O (0.6623, 0.3908, 0.8838)
O (0.6623, 0.8838, 0.3908)
O (0.8272, 0.1917, 0.6583)
O (0.8272, 0.6583, 0.1917)
O (0.8557, 0.1872, 0.1872)

Most intense lines, 2θ from 5° to 70°, low angle first:
two_theta  intensity
11.92  25.3
24.96  36.0
29.66  100.0
29.94  43.8
30.08  78.2
39.38  29.2
42.67  27.5
53.16  22.7



Diffraction record for TbSm2ErTm4. The powder diffractogram is calculated, not measured: it uses a crystal structure in Alexandria, relaxed with GGA-PBE and Cu Kα (weighted mean of Kα1 and Kα2).
Peak positions follow from Bragg's law for the DFT cell and can differ from measured ones.

Atomic structure:
Cell lengths 5.0058, 5.0058, 9.9492 Å; angles 90.00, 90.00, 90.00 degrees
Positions (direct):
Tb (0.0000, 0.0000, 0.0000)
Sm (0.0000, 0.0000, 0.5000)
Sm (0.5000, 0.5000, 0.0000)
Er (0.5000, 0.5000, 0.5000)
Tm (0.0000, 0.5000, 0.2507)
Tm (0.0000, 0.5000, 0.7493)
Tm (0.5000, 0.0000, 0.2507)
Tm (0.5000, 0.0000, 0.7493)

Most intense lines, 2θ from 5° to 70°, low angle first:
two_theta  intensity
31.01  100.0
35.88  33.9
36.11  16.7
51.65  12.1
51.82  23.9
61.47  28.7
61.78  14.1
64.63  12.3